(1)
Diffraction record for Na3Ni2P2C2O14. The XRD peak list is simulated, not measured: it uses a DFT-relaxed cell (PBE+U, the Materials Project) and a wavelength of 1.5418 Å.

Cell and atoms:
Cell lengths 8.8780, 6.5898, 10.3616 Å; angles 90.00, 91.30, 90.00 degrees
Atoms (fractional coordinates):
Na (0.2441, 0.0000, 0.3723)
Na (0.2470, 0.5407, 0.8739)
Na (0.2491, 0.0195, 0.8707)
Na (0.7509, 0.5195, 0.1293)
Na (0.7530, 0.0407, 0.1261)
Na (0.7559, 0.5000, 0.6277)
Ni (0.1517, 0.2819, 0.6377)
Ni (0.1564, 0.2852, 0.1432)
Ni (0.8436, 0.7852, 0.8568)
Ni (0.8483, 0.7819, 0.3623)
P (0.0753, 0.7818, 0.6120)
P (0.0772, 0.7809, 0.1055)
P (0.9228, 0.2809, 0.8945)
P (0.9247, 0.2818, 0.3880)
C (0.4278, 0.2764, 0.6067)
C (0.4299, 0.2767, 0.1069)
C (0.5701, 0.7767, 0.8931)
C (0.5722, 0.7764, 0.3933)
O (0.0397, 0.7877, 0.4649)
O (0.0408, 0.7874, 0.9559)
O (0.0730, 0.2792, 0.8217)
O (0.0772, 0.2713, 0.3179)
O (0.1693, 0.9692, 0.6526)
O (0.1698, 0.5935, 0.6523)
O (0.1736, 0.9676, 0.1448)
O (0.1755, 0.5930, 0.1339)
O (0.3287, 0.2697, 0.5126)
O (0.3291, 0.2791, 0.0125)
O (0.3692, 0.2821, 0.7208)
O (0.3704, 0.2735, 0.2196)
O (0.4309, 0.7785, 0.9111)
O (0.4335, 0.7780, 0.4112)
O (0.5665, 0.2780, 0.5888)
O (0.5691, 0.2785, 0.0889)
O (0.6296, 0.7735, 0.7804)
O (0.6308, 0.7821, 0.2792)
O (0.6713, 0.7697, 0.4874)
O (0.6709, 0.7791, 0.9875)
O (0.8245, 0.0930, 0.8661)
O (0.8264, 0.4676, 0.8552)
O (0.8302, 0.0935, 0.3477)
O (0.8307, 0.4692, 0.3474)
O (0.9228, 0.7713, 0.6821)
O (0.9270, 0.7792, 0.1783)
O (0.9592, 0.2874, 0.0441)
O (0.9603, 0.2877, 0.5351)

The 8 most intense peaks (10° ≤ 2θ ≤ 90°), sorted by position:
2θ 16.76, d = 5.291 Å, I 100; 2θ 20.04, d = 4.431 Å, I 56; 2θ 21.83, d = 4.072 Å, I 58; 2θ 26.14, d = 3.409 Å, I 70; 2θ 27.06, d = 3.295 Å, I 96; 2θ 33.90, d = 2.645 Å, I 69; 2θ 34.64, d = 2.590 Å, I 52; 2θ 37.93, d = 2.372 Å, I 51

=====

(2)
Diffraction record for MgVO3. The XRD peak list is simulated, not measured: it uses a DFT-relaxed cell (PBE+U, the Materials Project) and a wavelength of 1.5418 Å.

Cell and atoms:
Cell lengths 3.7792, 3.7792, 3.7792 Å; angles 90.00, 90.00, 90.00 degrees
Atoms (fractional coordinates):
Mg (0.0000, 0.0000, 0.0000)
V (0.5000, 0.5000, 0.5000)
O (0.0000, 0.5000, 0.5000)
O (0.5000, 0.0000, 0.5000)
O (0.5000, 0.5000, 0.0000)

The 8 most intense peaks (10° ≤ 2θ ≤ 90°), sorted by position:
2θ 23.54, d = 3.779 Å, I 66; 2θ 33.53, d = 2.672 Å, I 100; 2θ 48.16, d = 1.890 Å, I 71; 2θ 54.28, d = 1.690 Å, I 19; 2θ 59.96, d = 1.543 Å, I 36; 2θ 70.48, d = 1.336 Å, I 37; 2θ 80.34, d = 1.195 Å, I 15; 2θ 89.92, d = 1.091 Å, I 12

=====

(3)
Diffraction record for FeOF. The XRD peak list is simulated, not measured: it uses a DFT-relaxed cell (PBE+U, the Materials Project) and a wavelength of 1.5418 Å.

Cell and atoms:
Cell lengths 14.1613, 3.1056, 14.2089 Å; angles 90.00, 90.23, 90.00 degrees
Atoms (fractional coordinates):
Fe (0.0000, 0.0000, 0.0000)
Fe (0.0006, 0.0000, 0.3214)
Fe (0.1727, 0.5000, 0.1401)
Fe (0.1854, 0.5000, 0.8278)
Fe (0.1865, 0.5000, 0.4956)
Fe (0.3283, 0.0000, 0.6627)
Fe (0.3301, 0.0000, 0.9932)
Fe (0.3352, 0.0000, 0.3362)
Fe (0.5034, 0.5000, 0.4789)
Fe (0.5201, 0.5000, 0.1614)
Fe (0.5218, 0.5000, 0.8242)
Fe (0.6593, 0.0000, 0.9934)
Fe (0.6614, 0.0000, 0.3294)
Fe (0.6718, 0.0000, 0.6612)
Fe (0.8360, 0.5000, 0.5118)
Fe (0.8507, 0.5000, 0.1593)
Fe (0.8568, 0.5000, 0.8320)
Fe (0.9929, 0.0000, 0.6601)
O (0.1056, 0.0000, 0.0936)
O (0.2383, 0.0000, 0.8915)
O (0.2393, 0.0000, 0.5563)
O (0.2686, 0.5000, 0.3861)
O (0.2745, 0.5000, 0.7236)
O (0.2808, 0.5000, 0.0596)
O (0.4396, 0.0000, 0.4254)
O (0.5712, 0.0000, 0.2259)
O (0.5710, 0.0000, 0.8906)
O (0.6071, 0.5000, 0.7211)
O (0.6092, 0.5000, 0.0583)
O (0.6131, 0.5000, 0.3953)
O (0.7343, 0.5000, 0.5953)
O (0.9064, 0.0000, 0.2286)
O (0.9088, 0.0000, 0.5519)
O (0.9087, 0.0000, 0.8946)
O (0.9391, 0.5000, 0.0595)
O (0.9415, 0.5000, 0.7228)
F (0.0728, 0.5000, 0.9245)
F (0.0743, 0.5000, 0.5914)
F (0.0754, 0.5000, 0.2653)
F (0.1011, 0.0000, 0.4250)
F (0.1076, 0.0000, 0.7584)
F (0.2366, 0.0000, 0.2236)
F (0.4017, 0.5000, 0.2559)
F (0.4066, 0.5000, 0.9258)
F (0.4085, 0.5000, 0.5960)
F (0.4390, 0.0000, 0.7593)
F (0.4418, 0.0000, 0.0924)
F (0.5663, 0.0000, 0.5568)
F (0.7398, 0.5000, 0.9282)
F (0.7407, 0.5000, 0.2585)
F (0.7737, 0.0000, 0.0950)
F (0.7761, 0.0000, 0.7663)
F (0.7798, 0.0000, 0.4212)
F (0.9428, 0.5000, 0.3906)

The 8 most intense peaks (10° ≤ 2θ ≤ 90°), sorted by position:
2θ 26.61, d = 3.350 Å, I 89; 2θ 26.72, d = 3.337 Å, I 88; 2θ 34.55, d = 2.596 Å, I 100; 2θ 39.61, d = 2.276 Å, I 34; 2θ 52.28, d = 1.750 Å, I 52; 2θ 52.40, d = 1.746 Å, I 52; 2θ 59.53, d = 1.553 Å, I 18; 2θ 66.42, d = 1.408 Å, I 29

=====

(4)
Diffraction record for Li4Co3NiO8. The XRD peak list is simulated, not measured: it uses a DFT-relaxed cell (PBE+U, the Materials Project) and a wavelength of 1.5418 Å.

Cell and atoms:
Cell lengths 5.8387, 5.8525, 10.0850 Å; angles 89.73, 73.42, 60.08 degrees
Atoms (fractional coordinates):
Li (0.0011, 0.2483, 0.2551)
Li (0.0045, 0.7515, 0.2514)
Li (0.4940, 0.7583, 0.7528)
Li (0.4983, 0.7481, 0.2493)
Li (0.5017, 0.2519, 0.7507)
Li (0.5060, 0.2417, 0.2472)
Li (0.9955, 0.2485, 0.7486)
Li (0.9989, 0.7517, 0.7449)
Co (0.0000, 0.0000, 0.0000)
Co (0.0000, 0.0000, 0.5000)
Co (0.0000, 0.5000, 0.0000)
Co (0.0000, 0.5000, 0.5000)
Co (0.5000, 0.0000, 0.5000)
Co (0.5000, 0.5000, 0.0000)
Ni (0.5000, 0.0000, 0.0000)
Ni (0.5000, 0.5000, 0.5000)
O (0.2119, 0.6487, 0.3952)
O (0.2189, 0.1433, 0.8890)
O (0.2291, 0.8800, 0.6162)
O (0.2523, 0.3599, 0.6069)
O (0.2577, 0.0981, 0.3851)
O (0.2643, 0.6191, 0.8839)
O (0.2662, 0.3835, 0.1136)
O (0.2673, 0.8494, 0.1112)
O (0.7327, 0.1506, 0.8888)
O (0.7338, 0.6165, 0.8864)
O (0.7357, 0.3809, 0.1161)
O (0.7423, 0.9019, 0.6149)
O (0.7477, 0.6401, 0.3931)
O (0.7709, 0.1200, 0.3838)
O (0.7811, 0.8567, 0.1110)
O (0.7881, 0.3513, 0.6048)

The 8 most intense peaks (10° ≤ 2θ ≤ 90°), sorted by position:
2θ 18.62, d = 4.766 Å, I 100; 2θ 35.90, d = 2.501 Å, I 15; 2θ 36.08, d = 2.490 Å, I 29; 2θ 43.56, d = 2.078 Å, I 25; 2θ 43.86, d = 2.064 Å, I 24; 2θ 44.02, d = 2.057 Å, I 24; 2θ 63.59, d = 1.463 Å, I 13; 2θ 63.74, d = 1.460 Å, I 13

=====

(5)
Diffraction record for Sr2MnSbO6. The XRD peak list is simulated, not measured: it uses a DFT-relaxed cell (PBE+U, the Materials Project) and a wavelength of 1.5418 Å.

Cell and atoms:
Cell lengths 5.7401, 5.7401, 5.7401 Å; angles 121.65, 121.65, 87.17 degrees
Atoms (fractional coordinates):
Sr (0.2500, 0.7500, 0.5000)
Sr (0.7500, 0.2500, 0.5000)
Mn (0.0000, 0.0000, 0.0000)
Sb (0.5000, 0.5000, 0.0000)
O (0.2465, 0.2465, 0.4930)
O (0.2465, 0.7535, 0.0000)
O (0.2627, 0.2627, 0.0000)
O (0.7373, 0.7373, 0.0000)
O (0.7535, 0.2465, 0.0000)
O (0.7535, 0.7535, 0.5070)

The 8 most intense peaks (10° ≤ 2θ ≤ 90°), sorted by position:
2θ 19.12, d = 4.643 Å, I 14; 2θ 31.20, d = 2.867 Å, I 100; 2θ 31.98, d = 2.798 Å, I 47; 2θ 43.53, d = 2.079 Å, I 19; 2θ 45.86, d = 1.979 Å, I 33; 2θ 55.03, d = 1.669 Å, I 20; 2θ 56.51, d = 1.628 Å, I 37; 2θ 65.08, d = 1.433 Å, I 21

=====

(6)
Diffraction record for LiVTeO5. The XRD peak list is simulated, not measured: it uses a DFT-relaxed cell (PBE+U, the Materials Project) and a wavelength of 1.5418 Å.

Cell and atoms:
Cell lengths 7.4084, 8.6070, 10.0393 Å; angles 90.00, 90.00, 90.00 degrees
Atoms (fractional coordinates):
Li (0.1358, 0.2425, 0.3433)
Li (0.3642, 0.7575, 0.8433)
Li (0.6358, 0.2575, 0.6567)
Li (0.8642, 0.7425, 0.1567)
V (0.2402, 0.3860, 0.8039)
V (0.2598, 0.6140, 0.3039)
V (0.7402, 0.1140, 0.1961)
V (0.7598, 0.8860, 0.6961)
Te (0.0852, 0.1559, 0.6289)
Te (0.4148, 0.8441, 0.1289)
Te (0.5852, 0.3441, 0.3711)
Te (0.9148, 0.6559, 0.8711)
O (0.0216, 0.3121, 0.5111)
O (0.0460, 0.6385, 0.2590)
O (0.1495, 0.9922, 0.5256)
O (0.1586, 0.5918, 0.8014)
O (0.1991, 0.2991, 0.9428)
O (0.3009, 0.7009, 0.4428)
O (0.3414, 0.4082, 0.3014)
O (0.3505, 0.0078, 0.0256)
O (0.4540, 0.3615, 0.7590)
O (0.4784, 0.6879, 0.0111)
O (0.5216, 0.1879, 0.4889)
O (0.5460, 0.8615, 0.7410)
O (0.6495, 0.5078, 0.4744)
O (0.6586, 0.9082, 0.1986)
O (0.6991, 0.2009, 0.0572)
O (0.8009, 0.7991, 0.5572)
O (0.8414, 0.0918, 0.6986)
O (0.8505, 0.4922, 0.9744)
O (0.9540, 0.1385, 0.2410)
O (0.9784, 0.8121, 0.9889)

The 8 most intense peaks (10° ≤ 2θ ≤ 90°), sorted by position:
2θ 13.55, d = 6.534 Å, I 56; 2θ 14.86, d = 5.961 Å, I 60; 2θ 18.10, d = 4.901 Å, I 100; 2θ 20.48, d = 4.336 Å, I 66; 2θ 23.78, d = 3.742 Å, I 74; 2θ 23.91, d = 3.721 Å, I 39; 2θ 27.68, d = 3.222 Å, I 31; 2θ 36.07, d = 2.490 Å, I 41

=====

Which formula does entry 5 have?
Sr2MnSbO6